No. 1
# Rb2TbI5
Calculated X-ray diffraction stick pattern, Cu Kα, 1.54184 Å. Input: DFT lattice parameters and positions (GGA-PBE).
Kinematic intensities with the Lorentz-polarization factor, no thermal factor.

Largest 10 diffraction maxima, sorted by position, 2θ = 10–90°:
- 12.79°, I = 71
- 16.56°, I = 30
- 25.75°, I = 100
- 27.82°, I = 96
- 33.48°, I = 29
- 39.09°, I = 26
- 39.76°, I = 34
- 44.07°, I = 54
- 47.98°, I = 33
- 56.97°, I = 22

Cell and atoms:
```
Rb2TbI5
1.0
-4.535 4.535 5.352
4.535 -4.535 5.352
4.535 4.535 -5.352
Rb Tb I
2 1 5
Direct
0.000 0.500 0.500 Rb
0.500 0.000 0.500 Rb
0.237 0.237 0.000 Tb
0.055 0.055 0.538 I
0.055 0.517 0.000 I
0.517 0.055 0.000 I
0.517 0.517 0.462 I
0.972 0.972 0.000 I
```

No. 2
# Rb3Te2I8
Calculated X-ray diffraction stick pattern, Cu Kα, 1.54184 Å. Input: DFT lattice parameters and positions (GGA-PBE).
Kinematic intensities with the Lorentz-polarization factor, no thermal factor.

Largest 10 diffraction maxima, sorted by position, 2θ = 10–90°:
- 16.09°, I = 40
- 21.30°, I = 60
- 22.71°, I = 45
- 25.20°, I = 100
- 26.81°, I = 37
- 27.96°, I = 52
- 28.99°, I = 73
- 38.26°, I = 63
- 42.64°, I = 37
- 43.39°, I = 59

Cell and atoms:
```
Rb3Te2I8
1.0
4.171 2.408 11.351
-4.171 2.408 11.351
0.000 -4.816 11.351
Rb Te I
3 2 8
Direct
0.000 0.000 0.000 Rb
0.203 0.203 0.203 Rb
0.797 0.797 0.797 Rb
0.396 0.396 0.396 Te
0.604 0.604 0.604 Te
0.190 0.748 0.748 I
0.252 0.252 0.810 I
0.252 0.810 0.252 I
0.309 0.309 0.309 I
0.691 0.691 0.691 I
0.748 0.190 0.748 I
0.748 0.748 0.190 I
0.810 0.252 0.252 I
```

No. 3
# Rb4TeI2
Calculated X-ray diffraction stick pattern, Cu Kα, 1.54184 Å. Input: DFT lattice parameters and positions (GGA-PBE).
Kinematic intensities with the Lorentz-polarization factor, no thermal factor.

Largest 10 diffraction maxima, sorted by position, 2θ = 10–90°:
- 20.14°, I = 43
- 20.78°, I = 51
- 22.82°, I = 40
- 23.08°, I = 92
- 25.30°, I = 84
- 25.59°, I = 39
- 28.34°, I = 67
- 29.35°, I = 100
- 34.50°, I = 82
- 35.74°, I = 47

Cell and atoms:
```
Rb4TeI2
1.0
15.010 0.000 0.000
0.000 5.199 0.000
0.000 0.000 18.633
Rb Te I
16 4 8
Direct
0.030 0.250 0.206 Rb
0.076 0.250 0.592 Rb
0.171 0.750 0.026 Rb
0.245 0.750 0.288 Rb
0.255 0.250 0.788 Rb
0.329 0.250 0.526 Rb
0.424 0.750 0.092 Rb
0.470 0.750 0.706 Rb
0.530 0.250 0.294 Rb
0.576 0.250 0.908 Rb
0.671 0.750 0.474 Rb
0.745 0.750 0.212 Rb
0.755 0.250 0.712 Rb
0.829 0.250 0.974 Rb
0.924 0.750 0.408 Rb
0.970 0.750 0.794 Rb
0.233 0.750 0.652 Te
0.267 0.250 0.152 Te
0.733 0.750 0.848 Te
0.767 0.250 0.348 Te
0.062 0.250 0.903 I
0.110 0.250 0.394 I
0.390 0.750 0.894 I
0.438 0.750 0.403 I
0.562 0.250 0.597 I
0.610 0.250 0.106 I
0.890 0.750 0.606 I
0.938 0.750 0.097 I
```